Simulated powder XRD pattern of Zr3Ga2Co6 for Cu Ka, from the GGA-PBE geometry in Alexandria.
Kinematic intensities with the Lorentz-polarization factor, no thermal factor.

Structure:
Cell: 7.418 7.418 7.418 Å, 109.47 109.47 109.47°
Element x y z (fractional)
Zr1 0.000 0.286 0.286
Zr2 0.000 0.714 0.714
Zr3 0.286 0.000 0.286
Zr4 0.286 0.286 0.000
Zr5 0.714 0.000 0.714
Zr6 0.714 0.714 0.000
Ga1 0.000 0.000 0.500
Ga2 0.000 0.500 0.000
Ga3 0.500 0.000 0.000
Ga4 0.500 0.500 0.500
Co1 0.000 0.349 0.651
Co2 0.000 0.651 0.349
Co3 0.302 0.651 0.651
Co4 0.349 0.000 0.651
Co5 0.349 0.349 0.698
Co6 0.349 0.651 0.000
Co7 0.349 0.698 0.349
Co8 0.651 0.000 0.349
Co9 0.651 0.302 0.651
Co10 0.651 0.349 0.000
Co11 0.651 0.651 0.302
Co12 0.698 0.349 0.349

Largest 12 diffraction maxima, by angle, 10 to 80 degrees two-theta:
14.6°, I 13
33.1°, I 15
36.3°, I 43
39.4°, I 27
42.2°, I 16
44.9°, I 100
47.5°, I 16
59.1°, I 12
63.3°, I 8
67.4°, I 10
73.3°, I 18
77.1°, I 10


Simulated powder XRD pattern of Sr3Si2Ir for Cu Ka, from the GGA-PBE geometry in Alexandria.
Kinematic intensities with the Lorentz-polarization factor, no thermal factor.

Structure:
Cell: 7.373 9.798 9.986 Å, 90.00 100.07 90.00°
Element x y z (fractional)
Sr1 0.118 0.048 0.348
Sr2 0.118 0.452 0.848
Sr3 0.238 0.092 0.953
Sr4 0.238 0.408 0.453
Sr5 0.363 0.700 0.192
Sr6 0.363 0.800 0.692
Sr7 0.637 0.200 0.308
Sr8 0.637 0.300 0.808
Sr9 0.762 0.592 0.547
Sr10 0.762 0.908 0.047
Sr11 0.882 0.548 0.152
Sr12 0.882 0.952 0.652
Si1 0.077 0.728 0.414
Si2 0.077 0.772 0.914
Si3 0.476 0.090 0.576
Si4 0.476 0.410 0.076
Si5 0.524 0.590 0.924
Si6 0.524 0.910 0.424
Si7 0.923 0.228 0.086
Si8 0.923 0.272 0.586
Ir1 0.213 0.171 0.651
Ir2 0.213 0.329 0.151
Ir3 0.787 0.671 0.849
Ir4 0.787 0.829 0.349

Largest 12 diffraction maxima, by angle, 10 to 80 degrees two-theta:
15.2°, I 100
20.2°, I 29
24.5°, I 36
26.2°, I 33
27.1°, I 70
28.7°, I 60
30.0°, I 27
30.7°, I 73
32.0°, I 52
36.5°, I 37
36.9°, I 28
60.4°, I 25


Simulated powder XRD pattern of Cs2NdMgCl6 for Cu Ka, from the GGA-PBE geometry in Alexandria.
Kinematic intensities with the Lorentz-polarization factor, no thermal factor.

Structure:
Cell: 7.580 10.731 7.591 Å, 90.00 90.00 90.00°
Element x y z (fractional)
Cs1 0.250 0.000 0.250
Cs2 0.250 0.500 0.250
Cs3 0.750 0.000 0.750
Cs4 0.750 0.500 0.750
Nd1 0.250 0.250 0.749
Nd2 0.750 0.750 0.251
Mg1 0.250 0.750 0.751
Mg2 0.750 0.250 0.249
Cl1 0.014 0.750 0.515
Cl2 0.014 0.750 0.987
Cl3 0.250 0.514 0.750
Cl4 0.250 0.986 0.750
Cl5 0.486 0.750 0.515
Cl6 0.486 0.750 0.987
Cl7 0.514 0.250 0.013
Cl8 0.514 0.250 0.485
Cl9 0.750 0.014 0.250
Cl10 0.750 0.486 0.250
Cl11 0.986 0.250 0.013
Cl12 0.986 0.250 0.485

Largest 12 diffraction maxima, by angle, 10 to 80 degrees two-theta:
14.3°, I 15
23.5°, I 100
27.6°, I 16
28.8°, I 29
33.4°, I 65
41.2°, I 45
48.0°, I 44
54.1°, I 22
59.7°, I 15
65.1°, I 25
75.1°, I 11
80.0°, I 15


Simulated powder XRD pattern of AcDy2Tm4 for Cu Ka, from the GGA-PBE geometry in Alexandria.
Kinematic intensities with the Lorentz-polarization factor, no thermal factor.

Structure:
Cell: 7.080 8.642 8.811 Å, 114.37 101.58 101.65°
Element x y z (fractional)
Ac1 0.000 0.000 0.000
Ac2 0.086 0.726 0.574
Dy1 0.109 0.552 0.868
Dy2 0.228 0.162 0.727
Dy3 0.582 0.733 0.585
Dy4 0.800 0.892 0.319
Tm1 0.198 0.323 0.451
Tm2 0.314 0.897 0.319
Tm3 0.403 0.447 0.161
Tm4 0.502 0.004 0.997
Tm5 0.599 0.554 0.861
Tm6 0.693 0.324 0.447
Tm7 0.718 0.155 0.720
Tm8 0.889 0.435 0.142

Largest 12 diffraction maxima, by angle, 10 to 80 degrees two-theta:
29.9°, I 75
31.2°, I 97
31.3°, I 95
31.4°, I 100
32.4°, I 89
33.0°, I 85
41.7°, I 28
46.1°, I 24
47.6°, I 19
51.6°, I 26
57.3°, I 19
61.7°, I 43


Simulated powder XRD pattern of AcMg5Cu2 for Cu Ka, from the GGA-PBE geometry in Alexandria.
Kinematic intensities with the Lorentz-polarization factor, no thermal factor.

Structure:
Cell: 6.910 6.910 6.910 Å, 143.27 108.08 83.58°
Element x y z (fractional)
Ac1 0.000 0.000 0.000
Mg1 0.154 0.341 0.813
Mg2 0.473 0.659 0.813
Mg3 0.500 0.000 0.500
Mg4 0.527 0.341 0.187
Mg5 0.846 0.659 0.187
Cu1 0.243 0.743 0.500
Cu2 0.757 0.257 0.500

Largest 12 diffraction maxima, by angle, 10 to 80 degrees two-theta:
13.9°, I 84
21.9°, I 48
22.2°, I 32
28.2°, I 25
29.0°, I 100
31.4°, I 64
33.2°, I 47
34.3°, I 21
41.5°, I 58
43.1°, I 48
58.9°, I 18
60.1°, I 23


Simulated powder XRD pattern of AcAgH2O4 for Cu Ka, from the GGA-PBE geometry in Alexandria.
Kinematic intensities with the Lorentz-polarization factor, no thermal factor.

Structure:
Cell: 5.078 5.078 5.078 Å, 120.22 111.73 97.26°
Element x y z (fractional)
Ac1 0.000 0.000 0.000
Ag1 0.500 0.500 0.000
H1 0.309 0.809 0.500
H2 0.691 0.191 0.500
O1 0.198 0.010 0.607
O2 0.403 0.591 0.393
O3 0.597 0.990 0.188
O4 0.802 0.409 0.812

Largest 12 diffraction maxima, by angle, 10 to 80 degrees two-theta:
22.0°, I 15
23.5°, I 100
26.6°, I 28
31.4°, I 31
35.8°, I 83
41.6°, I 23
44.9°, I 26
48.1°, I 15
51.4°, I 14
55.8°, I 23
58.8°, I 18
60.3°, I 17


Simulated powder XRD pattern of Ho3Tl2Zn for Cu Ka, from the GGA-PBE geometry in Alexandria.
Kinematic intensities with the Lorentz-polarization factor, no thermal factor.

Structure:
Cell: 3.646 3.646 11.486 Å, 90.00 90.00 90.00°
Element x y z (fractional)
Ho1 0.000 0.000 0.000
Ho2 0.000 0.000 0.353
Ho3 0.000 0.000 0.647
Tl1 0.500 0.500 0.177
Tl2 0.500 0.500 0.823
Zn1 0.500 0.500 0.500

Largest 12 diffraction maxima, by angle, 10 to 80 degrees two-theta:
29.0°, I 11
34.0°, I 100
34.8°, I 50
47.5°, I 8
50.0°, I 18
53.4°, I 6
60.2°, I 16
61.8°, I 36
70.5°, I 5
71.5°, I 10
73.5°, I 6
79.6°, I 5


Simulated powder XRD pattern of La2Tb6Y3Th for Cu Ka, from the GGA-PBE geometry in Alexandria.
Kinematic intensities with the Lorentz-polarization factor, no thermal factor.

Structure:
Cell: 6.240 6.240 11.883 Å, 95.02 95.02 119.97°
Element x y z (fractional)
La1 0.167 0.833 0.000
La2 0.833 0.167 0.000
Tb1 0.087 0.416 0.749
Tb2 0.256 0.256 0.251
Tb3 0.416 0.087 0.749
Tb4 0.584 0.913 0.251
Tb5 0.744 0.744 0.749
Tb6 0.913 0.584 0.251
Y1 0.000 0.000 0.500
Y2 0.333 0.667 0.500
Y3 0.667 0.333 0.500
Th1 0.500 0.500 0.000

Largest 12 diffraction maxima, by angle, 10 to 80 degrees two-theta:
30.4°, I 100
30.6°, I 33
35.3°, I 67
50.7°, I 24
50.9°, I 24
60.2°, I 14
60.3°, I 28
60.5°, I 14
63.2°, I 4
63.3°, I 8
63.6°, I 4
74.7°, I 8


Simulated powder XRD pattern of Tb3Mg3Cd2 for Cu Ka, from the GGA-PBE geometry in Alexandria.
Kinematic intensities with the Lorentz-polarization factor, no thermal factor.

Structure:
Cell: 9.170 9.170 9.170 Å, 33.15 33.15 33.15°
Element x y z (fractional)
Tb1 0.000 0.000 0.000
Tb2 0.247 0.247 0.247
Tb3 0.496 0.496 0.496
Mg1 0.122 0.122 0.122
Mg2 0.625 0.625 0.625
Mg3 0.749 0.749 0.749
Cd1 0.373 0.373 0.373
Cd2 0.872 0.872 0.872

Largest 12 diffraction maxima, by angle, 10 to 80 degrees two-theta:
10.2°, I 12
19.9°, I 11
20.8°, I 27
23.9°, I 18
34.0°, I 100
34.3°, I 98
49.0°, I 35
60.6°, I 18
61.2°, I 36
61.4°, I 18
71.5°, I 11
72.2°, I 11


Simulated powder XRD pattern of Ba3Na2Tl7 for Cu Ka, from the GGA-PBE geometry in Alexandria.
Kinematic intensities with the Lorentz-polarization factor, no thermal factor.

Structure:
Cell: 11.290 11.290 11.290 Å, 34.12 34.12 34.12°
Element x y z (fractional)
Ba1 0.000 0.000 0.000
Ba2 0.140 0.140 0.140
Ba3 0.860 0.860 0.860
Na1 0.334 0.334 0.334
Na2 0.666 0.666 0.666
Tl1 0.077 0.584 0.584
Tl2 0.416 0.416 0.923
Tl3 0.416 0.923 0.416
Tl4 0.500 0.500 0.500
Tl5 0.584 0.077 0.584
Tl6 0.584 0.584 0.077
Tl7 0.923 0.416 0.416

Largest 12 diffraction maxima, by angle, 10 to 80 degrees two-theta:
16.7°, I 42
25.0°, I 29
27.3°, I 51
31.3°, I 78
31.7°, I 47
31.8°, I 100
33.8°, I 36
34.3°, I 68
37.0°, I 33
50.7°, I 27
55.5°, I 42
66.5°, I 32


Simulated powder XRD pattern of Hg2Br2N for Cu Ka, from the GGA-PBE geometry in Alexandria.
Kinematic intensities with the Lorentz-polarization factor, no thermal factor.

Structure:
Cell: 7.207 7.207 6.207 Å, 90.00 90.00 120.00°
Element x y z (fractional)
Hg1 0.000 0.000 0.000
Hg2 0.000 0.505 0.500
Hg3 0.495 0.495 0.500
Hg4 0.505 0.000 0.500
Br1 0.000 0.000 0.500
Br2 0.000 0.636 0.000
Br3 0.364 0.364 0.000
Br4 0.636 0.000 0.000
N1 0.333 0.667 0.500
N2 0.667 0.333 0.500

Largest 12 diffraction maxima, by angle, 10 to 80 degrees two-theta:
14.3°, I 12
20.2°, I 43
28.6°, I 100
28.8°, I 45
32.1°, I 25
41.0°, I 86
46.0°, I 15
50.7°, I 15
52.9°, I 19
59.3°, I 27
67.1°, I 19
67.4°, I 16


Simulated powder XRD pattern of Ti2MoPdRu for Cu Ka, from the GGA-PBE geometry in Alexandria.
Kinematic intensities with the Lorentz-polarization factor, no thermal factor.

Structure:
Cell: 4.569 4.569 4.807 Å, 90.00 90.00 90.00°
Element x y z (fractional)
Ti1 0.000 0.500 0.000
Ti2 0.500 0.000 0.000
Mo1 0.000 0.000 0.500
Pd1 0.500 0.500 0.000
Ru1 0.500 0.500 0.500

Largest 12 diffraction maxima, by angle, 10 to 80 degrees two-theta:
19.4°, I 50
26.9°, I 37
27.6°, I 74
33.4°, I 69
37.4°, I 58
39.4°, I 100
47.1°, I 34
55.5°, I 71
57.0°, I 33
67.7°, I 16
70.2°, I 34
77.0°, I 17